This entry pairs a crystal structure of RbFeBP2HO9 with its theoretical powder diffractogram. Radiation: Cu Kα (λ = 1.5418 Å). Structure: a cell relaxed with GGA+U.
Intensities are scaled so that the largest is 100.

The 10 most intense peaks (2θ = 10–90°), sorted by position:
(1 1 0), d = 6.303 Å, intensity 33; (1 0 -2), d = 4.714 Å, intensity 32; (0 1 2), d = 4.179 Å, intensity 29; (2 0 -2), d = 3.795 Å, intensity 37; (1 2 1), d = 3.491 Å, intensity 100; (1 1 -3), d = 3.042 Å, intensity 47; (2 0 2), d = 3.012 Å, intensity 23; (3 1 -1), d = 2.973 Å, intensity 27; (2 2 1), d = 2.866 Å, intensity 35; (3 1 -2), d = 2.767 Å, intensity 24

Cell and atoms:
abc: 9.557 8.567 9.830
angles: 90.00 103.13 90.00
Element x y z (fractional)
Rb  0.193  0.106  0.068
Rb  0.193  0.394  0.568
Rb  0.807  0.606  0.432
Rb  0.807  0.894  0.932
Fe  0.201  0.660  0.938
Fe  0.201  0.840  0.438
Fe  0.799  0.160  0.562
Fe  0.799  0.340  0.062
B  0.337  0.051  0.698
B  0.337  0.449  0.198
B  0.663  0.551  0.802
B  0.663  0.949  0.302
P  0.074  0.560  0.211
P  0.074  0.940  0.711
P  0.418  0.736  0.726
P  0.418  0.764  0.226
P  0.582  0.236  0.774
P  0.582  0.264  0.274
P  0.926  0.060  0.289
P  0.926  0.440  0.789
H  0.394  0.062  0.507
H  0.394  0.438  0.007
H  0.606  0.562  0.993
H  0.606  0.938  0.493
O  0.071  0.522  0.804
O  0.071  0.978  0.304
O  0.083  0.660  0.083
O  0.083  0.840  0.583
O  0.101  0.652  0.349
O  0.101  0.848  0.849
O  0.196  0.071  0.732
O  0.196  0.429  0.232
O  0.309  0.041  0.543
O  0.309  0.459  0.043
O  0.349  0.709  0.572
O  0.349  0.791  0.072
O  0.351  0.635  0.823
O  0.351  0.865  0.323
O  0.417  0.196  0.747
O  0.417  0.304  0.247
O  0.418  0.587  0.266
O  0.418  0.913  0.766
O  0.582  0.087  0.234
O  0.582  0.413  0.734
O  0.583  0.696  0.753
O  0.583  0.804  0.253
O  0.649  0.135  0.677
O  0.649  0.365  0.177
O  0.651  0.209  0.928
O  0.651  0.291  0.428
O  0.691  0.541  0.957
O  0.691  0.959  0.457
O  0.804  0.571  0.768
O  0.804  0.929  0.268
O  0.899  0.152  0.151
O  0.899  0.348  0.651
O  0.917  0.160  0.417
O  0.917  0.340  0.917
O  0.929  0.022  0.696
O  0.929  0.478  0.196